Diffraction record for TlIrRhO6. The powder XRD pattern is calculated, not measured: it uses a cell relaxed with PBE and Cu Kα, 1.54184 Å.

Main lines, low angle first (2θ from 15° to 90°):
2θ (°)  Rel. int.
21.35  28
28.66  100
33.04  76
39.68  42
44.30  31
55.68  50
56.36  30
59.02  23
76.09  13
85.49  14

Crystal structure
a b c (Å): 5.422 5.422 8.324
angles (deg): 90.00 90.00 120.00
Atoms (fractional coordinates):
Tl (0.333, 0.667, 0.250)
Tl (0.667, 0.333, 0.750)
Ir (0.333, 0.667, 0.750)
Ir (0.667, 0.333, 0.250)
Rh (0.000, 0.000, 0.000)
Rh (0.000, 0.000, 0.500)
O (0.040, 0.356, 0.618)
O (0.040, 0.683, 0.882)
O (0.317, 0.356, 0.882)
O (0.317, 0.960, 0.618)
O (0.356, 0.040, 0.118)
O (0.356, 0.317, 0.382)
O (0.644, 0.683, 0.618)
O (0.644, 0.960, 0.882)
O (0.683, 0.040, 0.382)
O (0.683, 0.644, 0.118)
O (0.960, 0.317, 0.118)
O (0.960, 0.644, 0.382)

Diffraction record for Hf5Zr2AlPd2. The powder XRD pattern is calculated, not measured: it uses a cell relaxed with PBE and Cu Kα, 1.54184 Å.

Main lines, low angle first (2θ from 15° to 90°):
2θ (°)  Rel. int.
17.85  21
33.25  58
34.24  50
34.69  24
36.59  100
39.28  48
41.82  38
53.35  20
58.75  17
64.32  17

Crystal structure
a b c (Å): 11.111 11.111 3.435
angles (deg): 90.00 90.00 90.00
Atoms (fractional coordinates):
Hf (0.000, 0.500, 0.000)
Hf (0.051, 0.201, 0.000)
Hf (0.201, 0.949, 0.000)
Hf (0.299, 0.449, 0.000)
Hf (0.449, 0.701, 0.000)
Hf (0.500, 0.000, 0.000)
Hf (0.551, 0.299, 0.000)
Hf (0.701, 0.551, 0.000)
Hf (0.799, 0.051, 0.000)
Hf (0.949, 0.799, 0.000)
Zr (0.178, 0.678, 0.500)
Zr (0.322, 0.178, 0.500)
Zr (0.678, 0.822, 0.500)
Zr (0.822, 0.322, 0.500)
Al (0.000, 0.000, 0.500)
Al (0.500, 0.500, 0.500)
Pd (0.130, 0.370, 0.500)
Pd (0.370, 0.870, 0.500)
Pd (0.630, 0.130, 0.500)
Pd (0.870, 0.630, 0.500)

Diffraction record for Pa2Ni5Ge3H2. The powder XRD pattern is calculated, not measured: it uses a cell relaxed with PBE and Cu Kα, 1.54184 Å.

Main lines, low angle first (2θ from 15° to 90°):
2θ (°)  Rel. int.
26.19  38
31.41  78
32.43  49
33.58  65
38.04  68
41.81  100
46.52  78
57.21  30
61.59  34
83.02  26

Crystal structure
a b c (Å): 10.767 10.767 10.767
angles (deg): 159.11 159.11 29.72
Atoms (fractional coordinates):
Pa (0.199, 0.199, 0.000)
Pa (0.801, 0.801, 0.000)
Ni (0.000, 0.000, 0.000)
Ni (0.082, 0.582, 0.500)
Ni (0.418, 0.918, 0.500)
Ni (0.582, 0.082, 0.500)
Ni (0.918, 0.418, 0.500)
Ge (0.344, 0.344, 0.000)
Ge (0.500, 0.500, 0.000)
Ge (0.656, 0.656, 0.000)
H (0.079, 0.079, 0.000)
H (0.921, 0.921, 0.000)

Diffraction record for Er5ThC4. The powder XRD pattern is calculated, not measured: it uses a cell relaxed with PBE and Cu Kα, 1.54184 Å.

Main lines, low angle first (2θ from 15° to 90°):
2θ (°)  Rel. int.
29.81  41
30.04  42
30.21  85
34.86  100
49.99  22
50.29  24
59.39  17
59.72  31
59.84  14
62.82  12

Crystal structure
a b c (Å): 8.117 8.117 7.337
angles (deg): 102.62 102.62 25.75
Atoms (fractional coordinates):
Er (0.000, 0.000, 0.000)
Er (0.331, 0.331, 0.643)
Er (0.339, 0.339, 0.191)
Er (0.661, 0.661, 0.809)
Er (0.669, 0.669, 0.357)
Th (0.000, 0.000, 0.500)
C (0.171, 0.171, 0.589)
C (0.496, 0.496, 0.237)
C (0.504, 0.504, 0.763)
C (0.829, 0.829, 0.411)

Diffraction record for RbSrLaF6. The powder XRD pattern is calculated, not measured: it uses a cell relaxed with PBE and Cu Kα, 1.54184 Å.

Main lines, low angle first (2θ from 15° to 90°):
2θ (°)  Rel. int.
23.09  17
23.50  100
24.01  24
24.29  20
24.96  75
30.78  29
37.98  18
40.53  21
42.03  29
48.06  27

Crystal structure
a b c (Å): 8.912 8.912 8.912
angles (deg): 122.37 119.84 88.11
Atoms (fractional coordinates):
Rb (0.282, 0.032, 0.250)
Rb (0.718, 0.968, 0.750)
Sr (0.000, 0.000, 0.500)
Sr (0.000, 0.500, 0.000)
La (0.000, 0.500, 0.500)
La (0.500, 0.500, 0.000)
F (0.046, 0.412, 0.234)
F (0.046, 0.813, 0.634)
F (0.077, 0.827, 0.250)
F (0.311, 0.561, 0.750)
F (0.321, 0.187, 0.734)
F (0.321, 0.588, 0.134)
F (0.679, 0.412, 0.866)
F (0.679, 0.813, 0.266)
F (0.689, 0.439, 0.250)
F (0.923, 0.173, 0.750)
F (0.954, 0.187, 0.366)
F (0.954, 0.588, 0.766)

Diffraction record for Y2Ho2Se2S3. The powder XRD pattern is calculated, not measured: it uses a cell relaxed with PBE and Cu Kα, 1.54184 Å.

Main lines, low angle first (2θ from 15° to 90°):
2θ (°)  Rel. int.
24.47  25
26.64  67
33.64  100
34.26  60
35.13  42
42.03  23
48.31  35
49.43  31
56.01  18
60.55  23

Crystal structure
a b c (Å): 8.194 8.194 8.194
angles (deg): 142.05 142.05 54.76
Atoms (fractional coordinates):
Y (0.202, 0.202, 0.000)
Y (0.798, 0.798, 0.000)
Ho (0.000, 0.500, 0.500)
Ho (0.500, 0.000, 0.500)
Se (0.397, 0.397, 0.000)
Se (0.603, 0.603, 0.000)
S (0.000, 0.000, 0.000)
S (0.250, 0.750, 0.500)
S (0.750, 0.250, 0.500)

Which formula does entry 5 have? RbSrLaF6

Number 4 is which compound? Er5ThC4